# Rb2CaTiCl6
Calculated powder X-ray diffraction pattern, Cu Kα X-rays. Input: the GGA-PBE geometry in Alexandria.
Lines closer than 0.1° are merged.

Cell lengths 7.410, 7.410, 7.410 Å; angles 60.00, 60.00, 60.00 degrees
Fractional coordinates of all 10 atoms:
Rb  0.250  0.250  0.250
Rb  0.750  0.750  0.750
Ca  0.000  0.000  0.000
Ti  0.500  0.500  0.500
Cl  0.259  0.259  0.741
Cl  0.259  0.741  0.259
Cl  0.259  0.741  0.741
Cl  0.741  0.259  0.259
Cl  0.741  0.259  0.741
Cl  0.741  0.741  0.259

Peak list (8 most intense, 2θ from 5° to 70°, in order of rising 2θ)
24.0°, d = 3.705 Å, rel. 81; 29.5°, d = 3.025 Å, rel. 79; 34.2°, d = 2.620 Å, rel. 100; 42.3°, d = 2.139 Å, rel. 36; 49.2°, d = 1.852 Å, rel. 65; 58.4°, d = 1.580 Å, rel. 29; 61.3°, d = 1.512 Å, rel. 21; 66.8°, d = 1.400 Å, rel. 19

---

# RbCaTl2Cl5
Calculated powder X-ray diffraction pattern, Cu Kα X-rays. Input: the GGA-PBE geometry in Alexandria.
Lines closer than 0.1° are merged.

Cell lengths 9.013, 9.013, 9.013 Å; angles 145.99, 129.93, 61.91 degrees
Fractional coordinates of all 9 atoms:
Rb  0.000  0.000  0.000
Ca  0.500  0.500  0.000
Tl  0.289  0.789  0.500
Tl  0.711  0.211  0.500
Cl  0.123  0.373  0.750
Cl  0.378  0.627  0.750
Cl  0.500  0.000  0.500
Cl  0.622  0.373  0.250
Cl  0.877  0.627  0.250

Peak list (8 most intense, 2θ from 5° to 70°, in order of rising 2θ)
20.5°, d = 4.337 Å, rel. 32; 20.8°, d = 4.270 Å, rel. 25; 23.5°, d = 3.782 Å, rel. 100; 29.5°, d = 3.030 Å, rel. 23; 33.0°, d = 2.715 Å, rel. 31; 33.6°, d = 2.667 Å, rel. 31; 34.0°, d = 2.636 Å, rel. 25; 41.1°, d = 2.196 Å, rel. 24

---

# Rb2CaTlCl6
Calculated powder X-ray diffraction pattern, Cu Kα X-rays. Input: the GGA-PBE geometry in Alexandria.
Lines closer than 0.1° are merged.

Cell lengths 7.812, 11.051, 7.851 Å; angles 90.00, 90.00, 90.00 degrees
Fractional coordinates of all 20 atoms:
Rb  0.250  0.020  0.219
Rb  0.250  0.480  0.219
Rb  0.750  0.520  0.781
Rb  0.750  0.980  0.781
Ca  0.250  0.250  0.741
Ca  0.750  0.750  0.259
Tl  0.250  0.750  0.753
Tl  0.750  0.250  0.247
Cl  0.003  0.250  0.987
Cl  0.019  0.250  0.483
Cl  0.250  0.005  0.770
Cl  0.250  0.495  0.770
Cl  0.481  0.250  0.483
Cl  0.497  0.250  0.987
Cl  0.503  0.750  0.013
Cl  0.519  0.750  0.517
Cl  0.750  0.505  0.230
Cl  0.750  0.995  0.230
Cl  0.981  0.750  0.517
Cl  0.997  0.750  0.013

Peak list (8 most intense, 2θ from 5° to 70°, in order of rising 2θ)
13.9°, d = 6.394 Å, rel. 49; 16.0°, d = 5.533 Å, rel. 27; 22.7°, d = 3.914 Å, rel. 100; 26.7°, d = 3.336 Å, rel. 38; 32.4°, d = 2.767 Å, rel. 84; 39.8°, d = 2.262 Å, rel. 26; 40.0°, d = 2.256 Å, rel. 28; 46.4°, d = 1.955 Å, rel. 46